This entry pairs a crystal structure of Tb2SmDyTe6 with its theoretical PXRD pattern. Radiation: CuKα. Structure: DFT lattice parameters and positions (GGA-PBE).
Neutral-atom scattering factors, no anomalous dispersion.

```
Tb2SmDyTe6
1.0
3.8756 2.2376 7.0661
-3.8756 2.2376 7.0661
0.0000 -4.4752 7.0661
Tb Sm Dy Te
2 1 1 6
Direct
0.0000 0.0000 0.0000 Tb
0.4990 0.4990 0.4990 Tb
0.1871 0.1871 0.1871 Sm
0.6858 0.6858 0.6858 Dy
0.0921 0.4067 0.7764 Te
0.2797 0.8997 0.5988 Te
0.4067 0.7764 0.0921 Te
0.5988 0.2797 0.8997 Te
0.7764 0.0921 0.4067 Te
0.8997 0.5988 0.2797 Te
```

Largest 10 diffraction maxima, low angle first, 5 to 70 degrees two-theta:
2θ = 15.63°, intensity 34
2θ = 21.36°, intensity 27
2θ = 26.23°, intensity 91
2θ = 31.55°, intensity 21
2θ = 34.35°, intensity 100
2θ = 40.31°, intensity 64
2θ = 45.04°, intensity 21
2θ = 53.97°, intensity 27
2θ = 67.56°, intensity 21
2θ = 69.46°, intensity 23



This entry pairs a crystal structure of TbSm2Dy3Te6 with its theoretical PXRD pattern. Radiation: CuKα. Structure: DFT lattice parameters and positions (GGA-PBE).
Neutral-atom scattering factors, no anomalous dispersion.

```
TbSm2Dy3Te6
1.0
9.5688 -2.1797 0.0000
9.5688 2.1797 0.0000
-2.0691 0.0000 8.5850
Tb Sm Dy Te
1 2 3 6
Direct
0.0000 0.0000 0.0000 Tb
0.3319 0.3319 0.6648 Sm
0.6681 0.6681 0.3352 Sm
0.0000 0.0000 0.5000 Dy
0.3310 0.3310 0.1666 Dy
0.6690 0.6690 0.8334 Dy
0.1642 0.1642 0.5875 Te
0.1659 0.1659 0.0777 Te
0.4978 0.4978 0.2499 Te
0.5022 0.5022 0.7501 Te
0.8341 0.8341 0.9223 Te
0.8358 0.8358 0.4125 Te
```

Largest 10 diffraction maxima, low angle first, 5 to 70 degrees two-theta:
2θ = 28.78°, intensity 100
2θ = 40.88°, intensity 13
2θ = 41.11°, intensity 25
2θ = 41.22°, intensity 25
2θ = 41.42°, intensity 12
2θ = 50.67°, intensity 7
2θ = 51.23°, intensity 13
2θ = 59.62°, intensity 13
2θ = 67.45°, intensity 12
2θ = 67.61°, intensity 12



This entry pairs a crystal structure of Tb2SmDyTh with its theoretical PXRD pattern. Radiation: CuKα. Structure: DFT lattice parameters and positions (GGA-PBE).
Neutral-atom scattering factors, no anomalous dispersion.

```
Tb2SmDyTh
1.0
3.2278 -8.3024 0.0000
3.2278 8.3024 0.0000
0.0000 0.0000 6.4245
Tb Sm Dy Th
4 2 2 2
Direct
0.2461 0.2461 0.0000 Tb
0.2461 0.2461 0.5000 Tb
0.7539 0.7539 0.0000 Tb
0.7539 0.7539 0.5000 Tb
0.3429 0.6571 0.7500 Sm
0.6571 0.3429 0.2500 Sm
0.2316 0.7684 0.2500 Dy
0.7684 0.2316 0.7500 Dy
0.1563 0.8437 0.7500 Th
0.8437 0.1563 0.2500 Th
```

Largest 10 diffraction maxima, low angle first, 5 to 70 degrees two-theta:
2θ = 25.33°, intensity 39
2θ = 29.70°, intensity 100
2θ = 29.82°, intensity 99
2θ = 32.35°, intensity 31
2θ = 33.39°, intensity 97
2θ = 35.21°, intensity 38
2θ = 35.33°, intensity 34
2θ = 39.58°, intensity 88
2θ = 52.01°, intensity 33
2θ = 62.98°, intensity 33



This entry pairs a crystal structure of TbSm2DyTh with its theoretical PXRD pattern. Radiation: CuKα. Structure: DFT lattice parameters and positions (GGA-PBE).
Neutral-atom scattering factors, no anomalous dispersion.

```
TbSm2DyTh
1.0
8.5187 0.0000 0.0000
0.0000 6.3952 0.0000
-0.6130 0.0000 6.3335
Tb Sm Dy Th
2 4 2 2
Direct
0.0000 0.0000 0.0000 Tb
0.0000 0.0000 0.5000 Tb
0.3114 0.2989 0.2190 Sm
0.3114 0.7011 0.7190 Sm
0.6886 0.2989 0.2810 Sm
0.6886 0.7011 0.7810 Sm
0.5000 0.1822 0.7500 Dy
0.5000 0.8178 0.2500 Dy
0.0000 0.4475 0.7500 Th
0.0000 0.5525 0.2500 Th
```

Largest 10 diffraction maxima, low angle first, 5 to 70 degrees two-theta:
2θ = 20.95°, intensity 26
2θ = 27.91°, intensity 35
2θ = 28.18°, intensity 30
2θ = 29.89°, intensity 100
2θ = 31.53°, intensity 26
2θ = 31.66°, intensity 21
2θ = 32.39°, intensity 23
2θ = 34.17°, intensity 27
2θ = 35.15°, intensity 22
2θ = 43.18°, intensity 21



This entry pairs a crystal structure of TbSm6Dy2Th with its theoretical PXRD pattern. Radiation: CuKα. Structure: DFT lattice parameters and positions (GGA-PBE).
Neutral-atom scattering factors, no anomalous dispersion.

```
TbSm6Dy2Th
1.0
4.6548 -7.4952 0.0000
4.6548 7.4952 0.0000
-1.2319 0.0000 9.5760
Tb Sm Dy Th
2 12 4 2
Direct
0.0922 0.9078 0.7500 Tb
0.9078 0.0922 0.2500 Tb
0.0150 0.7957 0.3819 Sm
0.0741 0.5130 0.1859 Sm
0.2043 0.9850 0.1181 Sm
0.2597 0.6123 0.5582 Sm
0.3877 0.7403 0.9418 Sm
0.4870 0.9259 0.3141 Sm
0.5130 0.0741 0.6859 Sm
0.6123 0.2597 0.0582 Sm
0.7403 0.3877 0.4418 Sm
0.7957 0.0150 0.8819 Sm
0.9259 0.4870 0.8141 Sm
0.9850 0.2043 0.6181 Sm
0.2066 0.2992 0.9494 Dy
0.2992 0.2066 0.4494 Dy
0.7008 0.7934 0.5506 Dy
0.7934 0.7008 0.0506 Dy
0.4705 0.5295 0.2500 Th
0.5295 0.4705 0.7500 Th
```

Largest 10 diffraction maxima, low angle first, 5 to 70 degrees two-theta:
2θ = 27.75°, intensity 26
2θ = 28.39°, intensity 59
2θ = 29.94°, intensity 62
2θ = 30.44°, intensity 62
2θ = 30.96°, intensity 79
2θ = 31.39°, intensity 100
2θ = 32.40°, intensity 33
2θ = 33.09°, intensity 22
2θ = 33.69°, intensity 36
2θ = 34.21°, intensity 23



This entry pairs a crystal structure of Tb2SmDy2Tm2 with its theoretical PXRD pattern. Radiation: CuKα. Structure: DFT lattice parameters and positions (GGA-PBE).
Neutral-atom scattering factors, no anomalous dispersion.

```
Tb2SmDy2Tm2
1.0
2.8245 1.6307 8.0727
-2.8245 1.6307 8.0727
0.0000 -3.2615 8.0727
Tb Sm Dy Tm
2 1 2 2
Direct
0.1403 0.1403 0.1403 Tb
0.8597 0.8597 0.8597 Tb
0.0000 0.0000 0.0000 Sm
0.2806 0.2806 0.2806 Dy
0.7194 0.7194 0.7194 Dy
0.4272 0.4272 0.4272 Tm
0.5728 0.5728 0.5728 Tm
```

Largest 5 diffraction maxima, low angle first, 5 to 70 degrees two-theta:
2θ = 31.68°, intensity 100
2θ = 38.92°, intensity 1
2θ = 45.41°, intensity 18
2θ = 56.42°, intensity 38
2θ = 66.17°, intensity 12



This entry pairs a crystal structure of TbSm2DyTm2 with its theoretical PXRD pattern. Radiation: CuKα. Structure: DFT lattice parameters and positions (GGA-PBE).
Neutral-atom scattering factors, no anomalous dispersion.

```
TbSm2DyTm2
1.0
6.6400 0.0000 0.0000
0.0000 17.4620 0.0000
0.0000 0.0000 3.3665
Tb Sm Dy Tm
2 4 2 4
Direct
0.0000 0.0000 0.0000 Tb
0.5000 0.5000 0.5000 Tb
0.2367 0.3479 0.5000 Sm
0.2633 0.8479 0.0000 Sm
0.7367 0.1521 0.0000 Sm
0.7633 0.6521 0.5000 Sm
0.0000 0.5000 0.0000 Dy
0.5000 0.0000 0.5000 Dy
0.2408 0.1759 0.0000 Tm
0.2592 0.6759 0.5000 Tm
0.7408 0.3241 0.5000 Tm
0.7592 0.8241 0.0000 Tm
```

Largest 10 diffraction maxima, low angle first, 5 to 70 degrees two-theta:
2θ = 26.97°, intensity 18
2θ = 28.77°, intensity 57
2θ = 30.70°, intensity 100
2θ = 31.51°, intensity 24
2θ = 33.92°, intensity 41
2θ = 36.31°, intensity 18
2θ = 41.22°, intensity 46
2θ = 54.54°, intensity 18
2θ = 63.91°, intensity 17
2θ = 64.63°, intensity 22



This entry pairs a crystal structure of TbSm6Dy3Tm2 with its theoretical PXRD pattern. Radiation: CuKα. Structure: DFT lattice parameters and positions (GGA-PBE).
Neutral-atom scattering factors, no anomalous dispersion.

```
TbSm6Dy3Tm2
1.0
3.1022 -5.3710 0.0000
3.1022 5.3710 0.0000
-2.0601 0.0000 11.6155
Tb Sm Dy Tm
1 6 3 2
Direct
0.0000 0.0000 0.0000 Tb
0.0835 0.4173 0.2491 Sm
0.2503 0.2503 0.7510 Sm
0.4173 0.0835 0.2491 Sm
0.5827 0.9165 0.7509 Sm
0.7497 0.7497 0.2490 Sm
0.9165 0.5827 0.7509 Sm
0.1668 0.8332 0.5000 Dy
0.5000 0.5000 0.5000 Dy
0.8332 0.1668 0.5000 Dy
0.3333 0.6667 0.0000 Tm
0.6667 0.3333 0.0000 Tm
```

Largest 10 diffraction maxima, low angle first, 5 to 70 degrees two-theta:
2θ = 30.60°, intensity 100
2θ = 30.79°, intensity 33
2θ = 35.53°, intensity 67
2θ = 51.00°, intensity 24
2θ = 51.26°, intensity 24
2θ = 60.65°, intensity 14
2θ = 60.77°, intensity 29
2θ = 61.00°, intensity 14
2θ = 63.70°, intensity 12
2θ = 64.14°, intensity 4



This entry pairs a crystal structure of TbSm3Dy6Tm2 with its theoretical PXRD pattern. Radiation: CuKα. Structure: DFT lattice parameters and positions (GGA-PBE).
Neutral-atom scattering factors, no anomalous dispersion.

```
TbSm3Dy6Tm2
1.0
3.0803 -5.3310 0.0000
3.0803 5.3310 0.0000
-2.0439 0.0000 11.5945
Tb Sm Dy Tm
1 3 6 2
Direct
0.0000 0.0000 0.0000 Tb
0.1668 0.8332 0.5000 Sm
0.5000 0.5000 0.5000 Sm
0.8332 0.1668 0.5000 Sm
0.0826 0.4163 0.2468 Dy
0.2511 0.2511 0.7532 Dy
0.4163 0.0826 0.2468 Dy
0.5837 0.9174 0.7532 Dy
0.7489 0.7489 0.2468 Dy
0.9174 0.5837 0.7532 Dy
0.3333 0.6667 0.0000 Tm
0.6667 0.3333 0.0000 Tm
```

Largest 8 diffraction maxima, low angle first, 5 to 70 degrees two-theta:
2θ = 7.62°, intensity 1
2θ = 30.82°, intensity 100
2θ = 35.73°, intensity 51
2θ = 51.43°, intensity 36
2θ = 61.15°, intensity 36
2θ = 61.22°, intensity 7
2θ = 64.18°, intensity 9
2θ = 64.27°, intensity 3



This entry pairs a crystal structure of Tb3Sm6DyTm2 with its theoretical PXRD pattern. Radiation: CuKα. Structure: DFT lattice parameters and positions (GGA-PBE).
Neutral-atom scattering factors, no anomalous dispersion.

```
Tb3Sm6DyTm2
1.0
3.1052 -5.3762 0.0000
3.1052 5.3762 0.0000
-2.0627 0.0000 11.6272
Tb Sm Dy Tm
3 6 1 2
Direct
0.0000 0.0000 0.0000 Tb
0.3332 0.6668 0.0000 Tb
0.6668 0.3332 0.0000 Tb
0.0830 0.4167 0.2516 Sm
0.2496 0.2496 0.7483 Sm
0.4167 0.0830 0.2516 Sm
0.5833 0.9170 0.7484 Sm
0.7504 0.7504 0.2517 Sm
0.9170 0.5833 0.7484 Sm
0.5000 0.5000 0.5000 Dy
0.1666 0.8334 0.5000 Tm
0.8334 0.1666 0.5000 Tm
```

Largest 10 diffraction maxima, low angle first, 5 to 70 degrees two-theta:
2θ = 30.57°, intensity 100
2θ = 30.76°, intensity 33
2θ = 35.50°, intensity 67
2θ = 50.95°, intensity 24
2θ = 51.20°, intensity 24
2θ = 60.59°, intensity 14
2θ = 60.70°, intensity 29
2θ = 60.93°, intensity 14
2θ = 63.63°, intensity 12
2θ = 64.07°, intensity 4



This entry pairs a crystal structure of TbSm4Dy2Tm2 with its theoretical PXRD pattern. Radiation: CuKα. Structure: DFT lattice parameters and positions (GGA-PBE).
Neutral-atom scattering factors, no anomalous dispersion.

```
TbSm4Dy2Tm2
1.0
7.5798 -2.5201 0.0000
7.5798 2.5201 0.0000
-2.5228 0.0000 7.5739
Tb Sm Dy Tm
1 4 2 2
Direct
0.0000 0.0000 0.0000 Tb
0.2226 0.2226 0.3317 Sm
0.4455 0.4455 0.6689 Sm
0.5545 0.5545 0.3311 Sm
0.7774 0.7774 0.6683 Sm
0.1114 0.1114 0.6686 Dy
0.8886 0.8886 0.3314 Dy
0.3325 0.3325 0.0001 Tm
0.6675 0.6675 0.9999 Tm
```

Largest 6 diffraction maxima, low angle first, 5 to 70 degrees two-theta:
2θ = 30.68°, intensity 100
2θ = 35.57°, intensity 51
2θ = 51.19°, intensity 36
2θ = 60.83°, intensity 29
2θ = 60.94°, intensity 14
2θ = 63.89°, intensity 12



This entry pairs a crystal structure of TbSm2Dy6Tm with its theoretical PXRD pattern. Radiation: CuKα. Structure: DFT lattice parameters and positions (GGA-PBE).
Neutral-atom scattering factors, no anomalous dispersion.

```
TbSm2Dy6Tm
1.0
4.5072 -7.5092 0.0000
4.5072 7.5092 0.0000
-1.4175 0.0000 9.5146
Tb Sm Dy Tm
2 4 12 2
Direct
0.0201 0.9799 0.7500 Tb
0.9799 0.0201 0.2500 Tb
0.1962 0.2997 0.5431 Sm
0.2997 0.1962 0.0431 Sm
0.7003 0.8038 0.9569 Sm
0.8038 0.7003 0.4569 Sm
0.0189 0.5726 0.6868 Dy
0.1249 0.7475 0.0566 Dy
0.2525 0.8751 0.4434 Dy
0.2919 0.5037 0.8804 Dy
0.4274 0.9811 0.8132 Dy
0.4963 0.7081 0.6196 Dy
0.5037 0.2919 0.3804 Dy
0.5726 0.0189 0.1868 Dy
0.7081 0.4963 0.1196 Dy
0.7475 0.1249 0.5566 Dy
0.8751 0.2525 0.9434 Dy
0.9811 0.4274 0.3132 Dy
0.4080 0.5920 0.2500 Tm
0.5920 0.4080 0.7500 Tm
```

Largest 10 diffraction maxima, low angle first, 5 to 70 degrees two-theta:
2θ = 27.98°, intensity 23
2θ = 28.74°, intensity 57
2θ = 30.60°, intensity 68
2θ = 30.75°, intensity 91
2θ = 31.43°, intensity 76
2θ = 31.68°, intensity 56
2θ = 31.78°, intensity 100
2θ = 32.40°, intensity 26
2θ = 33.70°, intensity 89
2θ = 53.42°, intensity 30